Diffraction record for Tm6Co30P19. The XRD peak list is theoretical, not measured: it uses a DFT-relaxed cell (PBE, OQMD) and a wavelength of 1.5418 Å.
Neutral-atom scattering factors, no anomalous dispersion.

Principal peaks in the range 10° ≤ 2θ ≤ 80°, by angle:
2θ (°)	d_spacing	I (rel.)
27.9	3.194	11.1
30.8	2.898	10.5
36.0	2.495	11.8
37.7	2.388	12.5
38.1	2.361	17.6
40.1	2.246	100.0
51.4	1.777	19.4
54.9	1.673	20.2
57.3	1.609	10.1
78.5	1.218	13.8

Cell and atoms:
```
Tm6Co30P19
1.0
14.589 0.000 0.000
-7.294 12.634 0.000
0.000 0.000 3.553
Tm Co P
6 30 19
Cartesian
-1.448 3.458 0.000
-3.576 12.159 0.000
3.570 4.689 1.777
8.743 0.747 1.777
5.024 9.651 0.000
9.570 7.198 1.777
-2.360 5.589 1.777
-4.969 10.323 1.777
-3.631 8.988 0.000
0.900 1.178 0.000
0.839 3.169 1.777
-1.791 8.123 1.777
-0.742 6.429 0.000
2.841 1.630 1.777
1.326 4.996 0.000
-1.356 10.062 0.000
1.155 7.022 1.777
-1.274 11.883 1.777
4.451 2.573 0.000
0.636 10.123 1.777
6.463 1.058 0.000
2.098 8.777 0.000
6.394 3.035 1.777
3.634 7.796 1.777
4.979 6.508 0.000
2.305 11.284 0.000
6.726 5.580 1.777
4.130 11.776 1.777
8.764 4.020 1.777
10.135 2.568 0.000
7.297 7.493 0.000
7.285 9.359 1.777
11.757 1.646 1.777
13.118 0.190 0.000
10.440 5.068 0.000
7.865 11.266 0.000
-0.618 1.492 1.777
-2.872 6.900 0.000
-5.693 12.424 1.777
-0.106 5.188 1.777
-2.749 10.132 1.777
2.256 2.962 0.000
0.000 8.423 0.000
5.041 1.255 1.777
2.754 6.697 0.000
0.117 11.671 0.000
5.692 4.410 0.000
2.854 9.949 1.777
7.924 2.724 0.000
5.861 7.641 1.777
10.896 0.473 0.000
8.268 5.500 0.000
6.312 11.353 1.777
10.981 3.738 1.777
8.731 9.199 0.000
```



Diffraction record for YCo5P3. The XRD peak list is theoretical, not measured: it uses a DFT-relaxed cell (PBE, OQMD) and a wavelength of 1.5418 Å.
Neutral-atom scattering factors, no anomalous dispersion.

Principal peaks in the range 10° ≤ 2θ ≤ 80°, by angle:
2θ (°)	d_spacing	I (rel.)
38.1	2.364	12.6
39.3	2.294	100.0
39.5	2.282	63.1
40.5	2.227	22.3
43.8	2.065	9.9
49.6	1.839	13.4
50.1	1.819	42.0
54.1	1.696	20.6
69.5	1.352	9.2
76.8	1.241	13.9

Cell and atoms:
```
YCo5P3
1.0
11.716 0.000 0.000
0.000 3.639 0.000
0.000 0.000 10.272
Y Co P
4 20 12
Cartesian
2.375 0.910 0.853
3.483 2.729 5.989
8.233 0.910 4.283
9.341 2.729 9.418
0.111 2.729 7.352
0.140 2.729 0.958
0.799 2.729 4.807
2.069 0.910 8.000
2.322 0.910 3.928
3.536 2.729 9.063
3.789 2.729 2.864
5.059 0.910 9.943
5.718 0.910 6.094
5.747 0.910 2.216
5.969 2.729 8.055
5.998 2.729 4.177
6.657 2.729 0.329
7.927 0.910 7.408
8.180 0.910 1.208
9.394 2.729 6.344
9.648 2.729 2.272
10.917 0.910 5.465
11.576 0.910 9.313
11.606 0.910 2.920
1.275 2.729 9.221
1.308 0.910 5.976
1.518 2.729 2.782
4.340 0.910 7.918
4.550 2.729 0.840
4.583 0.910 4.086
7.133 2.729 6.186
7.166 0.910 9.432
7.377 2.729 2.354
10.198 0.910 7.490
10.408 2.729 4.296
10.441 0.910 1.050
```



Diffraction record for Co7Pb. The XRD peak list is theoretical, not measured: it uses a DFT-relaxed cell (PBE, OQMD) and a wavelength of 1.5418 Å.
Neutral-atom scattering factors, no anomalous dispersion.

Principal peaks in the range 10° ≤ 2θ ≤ 80°, by angle:
2θ (°)	d_spacing	I (rel.)
14.1	6.274	27.8
17.0	5.228	27.0
29.9	2.990	20.8
34.2	2.623	22.6
40.0	2.252	27.1
43.4	2.083	100.0
44.6	2.033	63.2
48.3	1.886	49.7
56.9	1.617	23.8
77.8	1.228	24.1

Cell and atoms:
```
Co7Pb
1.0
2.724 0.000 0.000
0.000 3.235 0.000
0.000 0.000 31.371
Co Pb
14 2
Cartesian
0.000 0.000 0.000
0.000 0.000 2.491
0.000 0.000 4.992
0.000 0.000 7.521
0.000 0.000 10.023
0.000 0.000 12.549
0.000 0.000 15.064
1.362 1.617 1.199
1.362 1.617 3.721
1.362 1.617 6.244
1.362 1.617 8.753
1.362 1.617 11.279
1.362 1.617 13.773
1.362 1.617 16.267
0.000 0.000 18.266
1.362 1.617 29.384
```



Diffraction record for Co2Pb3. The XRD peak list is theoretical, not measured: it uses a DFT-relaxed cell (PBE, OQMD) and a wavelength of 1.5418 Å.
Neutral-atom scattering factors, no anomalous dispersion.

Principal peaks in the range 10° ≤ 2θ ≤ 80°, by angle:
2θ (°)	d_spacing	I (rel.)
27.1	3.291	8.0
30.7	2.916	15.5
31.2	2.866	100.0
41.4	2.182	30.5
47.9	1.900	28.4
54.9	1.674	21.2
57.9	1.592	14.7
58.3	1.584	16.1
75.7	1.256	7.7
78.6	1.217	12.4

Cell and atoms:
```
Co2Pb3
1.0
3.291 1.900 5.831
-3.291 1.900 5.831
0.000 -3.800 5.831
Co Pb
4 6
Cartesian
0.000 0.000 3.050
0.000 0.000 5.697
0.000 0.000 11.797
0.000 0.000 14.444
-2.126 0.118 7.289
-1.165 -1.782 10.205
0.961 -1.900 7.289
-0.961 1.900 10.205
1.165 1.782 7.289
2.126 -0.118 10.205
```



Diffraction record for Co15Pb. The XRD peak list is theoretical, not measured: it uses a DFT-relaxed cell (PBE, OQMD) and a wavelength of 1.5418 Å.
Neutral-atom scattering factors, no anomalous dispersion.

Principal peaks in the range 10° ≤ 2θ ≤ 80°, by angle:
2θ (°)	d_spacing	I (rel.)
10.5	8.394	22.3
25.7	3.469	17.1
39.2	2.299	18.8
43.6	2.076	48.1
44.8	2.022	100.0
45.9	1.977	25.6
51.0	1.789	29.5
52.4	1.745	30.6
53.1	1.724	15.3
76.2	1.250	16.5

Cell and atoms:
```
Co15Pb
1.0
4.283 0.000 0.000
0.000 33.574 0.000
-1.409 0.000 4.046
Co Pb
30 2
Cartesian
-0.352 0.611 1.011
-1.057 1.839 3.034
-0.352 3.070 1.011
-1.057 4.281 3.034
-0.352 5.551 1.011
-1.057 6.718 3.034
-0.352 8.025 1.011
-1.057 9.096 3.034
-0.352 24.478 1.011
-1.057 25.549 3.034
-0.352 26.856 1.011
-1.057 28.024 3.034
-0.352 29.293 1.011
-1.057 30.505 3.034
-0.352 31.735 1.011
-1.057 32.963 3.034
1.085 0.612 3.034
1.789 1.844 1.011
1.085 3.070 3.034
1.789 4.333 1.011
1.085 5.551 3.034
1.789 6.831 1.011
1.085 8.026 3.034
1.789 25.549 1.011
1.085 26.743 3.034
1.789 28.024 1.011
1.085 29.242 3.034
1.789 30.505 1.011
1.085 31.730 3.034
1.789 32.962 1.011
1.789 10.038 1.011
1.085 23.536 3.034
```



Diffraction record for Co7Pb2. The XRD peak list is theoretical, not measured: it uses a DFT-relaxed cell (PBE, OQMD) and a wavelength of 1.5418 Å.
Neutral-atom scattering factors, no anomalous dispersion.

Principal peaks in the range 10° ≤ 2θ ≤ 80°, by angle:
2θ (°)	d_spacing	I (rel.)
10.9	8.122	81.0
18.2	4.873	29.2
21.9	4.061	21.6
36.1	2.486	34.6
36.7	2.449	30.4
38.9	2.312	100.0
40.6	2.224	45.4
44.6	2.030	25.9
49.6	1.837	41.1
64.6	1.443	24.5

Cell and atoms:
```
Co7Pb2
1.0
2.886 0.000 0.000
-1.443 2.500 0.000
0.000 0.000 24.366
Co Pb
7 2
Cartesian
0.000 0.000 0.000
0.000 0.000 5.293
0.000 0.000 19.074
0.000 1.666 3.558
0.000 1.666 22.590
1.443 0.833 1.776
1.443 0.833 20.808
0.000 1.666 16.694
1.443 0.833 7.673
```



Diffraction record for ScCoPb2. The XRD peak list is theoretical, not measured: it uses a DFT-relaxed cell (PBE, OQMD) and a wavelength of 1.5418 Å.
Neutral-atom scattering factors, no anomalous dispersion.

Principal peaks in the range 10° ≤ 2θ ≤ 80°, by angle:
2θ (°)	d_spacing	I (rel.)
21.9	4.060	38.5
36.1	2.486	100.0
42.6	2.120	22.4
52.0	1.758	17.6
57.1	1.613	9.9
65.0	1.435	36.2
69.5	1.353	7.7
76.7	1.243	11.4

Cell and atoms:
```
ScCoPb2
1.0
0.000 3.516 3.516
3.516 0.000 3.516
3.516 3.516 0.000
Sc Co Pb
1 1 2
Cartesian
0.000 0.000 0.000
1.758 1.758 1.758
3.516 3.516 3.516
5.274 5.274 5.274
```



Diffraction record for SmYCo2Pb. The XRD peak list is theoretical, not measured: it uses a DFT-relaxed cell (PBE, OQMD) and a wavelength of 1.5418 Å.
Neutral-atom scattering factors, no anomalous dispersion.

Principal peaks in the range 10° ≤ 2θ ≤ 80°, by angle:
2θ (°)	d_spacing	I (rel.)
29.7	3.005	45.7
33.1	2.703	100.0
34.0	2.636	72.4
39.2	2.299	33.7
45.8	1.982	17.3
46.4	1.955	20.3
46.9	1.937	19.8
56.1	1.639	31.8
59.2	1.561	29.2
68.2	1.376	19.1

Cell and atoms:
```
SmYCo2Pb
1.0
3.910 0.000 0.000
0.000 1.937 7.140
0.000 -1.937 7.140
Sm Y Co Pb
1 1 2 1
Cartesian
0.000 0.000 0.000
0.000 0.000 3.985
1.955 0.000 6.148
1.955 0.000 12.081
1.955 0.000 9.165
```



Diffraction record for Ta2Co2SnPb. The XRD peak list is theoretical, not measured: it uses a DFT-relaxed cell (PBE, OQMD) and a wavelength of 1.5418 Å.
Neutral-atom scattering factors, no anomalous dispersion.

Principal peaks in the range 10° ≤ 2θ ≤ 80°, by angle:
2θ (°)	d_spacing	I (rel.)
25.7	3.464	6.6
29.8	3.000	62.3
42.6	2.121	100.0
50.4	1.809	2.8
52.9	1.732	17.7
61.8	1.500	16.6
68.1	1.377	0.9
70.1	1.342	23.6
78.0	1.225	22.8
78.1	1.224	11.4

Cell and atoms:
```
Ta2Co2SnPb
1.0
10.393 0.000 0.000
0.000 4.240 0.000
-3.473 0.000 9.806
Ta Co Sn Pb
8 8 4 4
Cartesian
0.000 0.000 0.000
0.000 2.120 3.622
0.004 0.000 7.314
3.473 2.120 1.189
3.461 0.000 4.845
3.456 2.120 8.576
6.963 0.000 2.399
6.963 2.120 6.069
-2.566 0.000 7.274
0.851 2.120 1.217
0.852 0.000 4.828
0.895 2.120 8.579
4.312 0.000 2.376
4.335 2.120 6.081
7.797 0.000 0.012
7.844 2.120 3.627
-1.716 0.000 4.851
1.738 0.000 2.410
1.732 0.000 9.775
8.671 2.120 1.189
-1.734 2.120 8.553
1.734 2.120 6.092
5.218 2.120 3.628
5.206 0.000 7.327
```



Diffraction record for ZnCoTcPb. The XRD peak list is theoretical, not measured: it uses a DFT-relaxed cell (PBE, OQMD) and a wavelength of 1.5418 Å.
Neutral-atom scattering factors, no anomalous dispersion.

Principal peaks in the range 10° ≤ 2θ ≤ 80°, by angle:
2θ (°)	d_spacing	I (rel.)
24.1	3.693	13.0
27.9	3.198	19.3
39.9	2.261	100.0
47.1	1.928	7.4
49.4	1.846	5.8
57.6	1.599	16.7
63.4	1.467	3.3
65.2	1.430	7.9
72.4	1.306	33.7
77.6	1.231	2.6

Cell and atoms:
```
ZnCoTcPb
1.0
0.000 3.198 3.198
3.198 0.000 3.198
3.198 3.198 0.000
Zn Co Tc Pb
1 1 1 1
Cartesian
0.000 0.000 0.000
3.198 3.198 3.198
4.797 4.797 4.797
1.599 1.599 1.599
```



Diffraction record for YTmCo2Pb. The XRD peak list is theoretical, not measured: it uses a DFT-relaxed cell (PBE, OQMD) and a wavelength of 1.5418 Å.
Neutral-atom scattering factors, no anomalous dispersion.

Principal peaks in the range 10° ≤ 2θ ≤ 80°, by angle:
2θ (°)	d_spacing	I (rel.)
30.2	2.963	47.3
33.7	2.658	100.0
34.7	2.585	70.4
38.5	2.340	20.0
39.8	2.264	31.7
46.6	1.948	17.1
47.5	1.914	39.8
57.2	1.611	16.7
57.3	1.607	16.2
60.1	1.539	28.7

Cell and atoms:
```
YTmCo2Pb
1.0
3.825 0.000 0.000
0.000 1.915 7.015
0.000 -1.915 7.015
Y Tm Co Pb
1 1 2 1
Cartesian
0.000 0.000 0.000
0.000 0.000 3.946
1.913 0.000 6.047
1.913 0.000 11.842
1.913 0.000 8.992
```



Repeat the second record exactly.
Diffraction record for YCo5P3. The XRD peak list is theoretical, not measured: it uses a DFT-relaxed cell (PBE, OQMD) and a wavelength of 1.5418 Å.
Neutral-atom scattering factors, no anomalous dispersion.

Principal peaks in the range 10° ≤ 2θ ≤ 80°, by angle:
2θ (°)	d_spacing	I (rel.)
38.1	2.364	12.6
39.3	2.294	100.0
39.5	2.282	63.1
40.5	2.227	22.3
43.8	2.065	9.9
49.6	1.839	13.4
50.1	1.819	42.0
54.1	1.696	20.6
69.5	1.352	9.2
76.8	1.241	13.9

Cell and atoms:
```
YCo5P3
1.0
11.716 0.000 0.000
0.000 3.639 0.000
0.000 0.000 10.272
Y Co P
4 20 12
Cartesian
2.375 0.910 0.853
3.483 2.729 5.989
8.233 0.910 4.283
9.341 2.729 9.418
0.111 2.729 7.352
0.140 2.729 0.958
0.799 2.729 4.807
2.069 0.910 8.000
2.322 0.910 3.928
3.536 2.729 9.063
3.789 2.729 2.864
5.059 0.910 9.943
5.718 0.910 6.094
5.747 0.910 2.216
5.969 2.729 8.055
5.998 2.729 4.177
6.657 2.729 0.329
7.927 0.910 7.408
8.180 0.910 1.208
9.394 2.729 6.344
9.648 2.729 2.272
10.917 0.910 5.465
11.576 0.910 9.313
11.606 0.910 2.920
1.275 2.729 9.221
1.308 0.910 5.976
1.518 2.729 2.782
4.340 0.910 7.918
4.550 2.729 0.840
4.583 0.910 4.086
7.133 2.729 6.186
7.166 0.910 9.432
7.377 2.729 2.354
10.198 0.910 7.490
10.408 2.729 4.296
10.441 0.910 1.050
```



Question: Which formula does entry 9 have?
Answer: Ta2Co2SnPb



What did the eleventh record say?
Diffraction record for YTmCo2Pb. The XRD peak list is theoretical, not measured: it uses a DFT-relaxed cell (PBE, OQMD) and a wavelength of 1.5418 Å.
Neutral-atom scattering factors, no anomalous dispersion.

Principal peaks in the range 10° ≤ 2θ ≤ 80°, by angle:
2θ (°)	d_spacing	I (rel.)
30.2	2.963	47.3
33.7	2.658	100.0
34.7	2.585	70.4
38.5	2.340	20.0
39.8	2.264	31.7
46.6	1.948	17.1
47.5	1.914	39.8
57.2	1.611	16.7
57.3	1.607	16.2
60.1	1.539	28.7

Cell and atoms:
```
YTmCo2Pb
1.0
3.825 0.000 0.000
0.000 1.915 7.015
0.000 -1.915 7.015
Y Tm Co Pb
1 1 2 1
Cartesian
0.000 0.000 0.000
0.000 0.000 3.946
1.913 0.000 6.047
1.913 0.000 11.842
1.913 0.000 8.992
```